No. 1
For KMnCl3O2, a structure optimized by DFT (GGA+U) gives the simulated PXRD pattern in this record (copper Kα).
Neutral-atom scattering factors, no anomalous dispersion.

a = 6.7969 Å, b = 6.8836 Å, c = 9.5537 Å
α = 75.70°, β = 76.61°, γ = 67.41°
Space group P-1 (No. 2)
Symmetry-distinct sites (fractional):
K1 0.0545 0.3236 0.2928 x2
Mn1 0.4019 0.7405 0.1979 x2
Cl1 0.0538 0.7887 0.3458 x2
Cl2 0.2592 0.3219 0.9342 x2
Cl3 0.4885 0.5859 0.6786 x2
O1 0.2899 0.7788 0.0586 x2
O2 0.4111 0.9356 0.2592 x2

Most intense lines, 10° ≤ 2θ ≤ 90°, by angle:
index	two_theta	Rel. int.
0 1 1	15.69	45
1 0 1	15.99	100
1 1 1	16.35	83
0 0 2	19.40	77
1 1 2	21.47	67
1 2 1	26.24	60
0 2 0	28.53	51
0 2 -1	31.84	50
2 0 -2	37.42	68
-1 1 3	37.62	53


No. 2
For NaFe11O17, a structure optimized by DFT (GGA+U) gives the simulated PXRD pattern in this record (copper Kα).
Neutral-atom scattering factors, no anomalous dispersion.

a = 6.0065 Å, b = 6.0072 Å, c = 23.7725 Å
α = 90.02°, β = 90.18°, γ = 119.93°
Space group P1 (No. 1)
Symmetry-distinct sites (fractional):
Na1 0.0000 0.0000 0.0000 x1
Na2 0.3331 0.6670 0.5009 x1
Fe1 0.0011 0.0002 0.7250 x1
Fe2 0.0008 0.0005 0.5756 x1
Fe3 0.0013 0.5009 0.6439 x1
Fe4 0.0016 0.0005 0.2764 x1
Fe5 0.3320 0.1657 0.1454 x1
Fe6 0.3328 0.1670 0.8576 x1
Fe7 0.3330 0.6664 0.0758 x1
Fe8 0.3328 0.6673 0.7766 x1
Fe9 0.3343 0.6682 0.2255 x1
Fe10 0.3348 0.6686 0.9251 x1
Fe11 0.4955 0.9967 0.3538 x1
Fe12 0.5001 0.9995 0.6440 x1
Fe13 0.5003 0.5010 0.6443 x1
Fe14 0.5028 0.5013 0.3571 x1
Fe15 0.6671 0.3338 0.7509 x1
Fe16 0.6695 0.3348 0.2512 x1
Fe17 0.8333 0.6662 0.1455 x1
Fe18 0.8342 0.1657 0.1453 x1
Fe19 0.8344 0.1667 0.8574 x1
Fe20 0.8344 0.6679 0.8577 x1
Fe21 0.9984 0.4976 0.3570 x1
Fe22 0.9989 0.0004 0.4253 x1
O1 0.0016 0.0019 0.1962 x1
O2 0.1597 0.3182 0.9000 x1
O3 0.1600 0.3207 0.1037 x1
O4 0.1596 0.8381 0.1036 x1
O5 0.1630 0.8207 0.3988 x1
O6 0.1630 0.8416 0.8997 x1
O7 0.1706 0.3427 0.6032 x1
O8 0.1707 0.8276 0.6016 x1
O9 0.1762 0.3472 0.3980 x1
O10 0.3323 0.6652 0.0001 x1
O11 0.3341 0.6681 0.6952 x1
O12 0.3385 0.6747 0.3064 x1
O13 0.3597 0.1803 0.7010 x1
O14 0.3626 0.1788 0.3010 x1
O15 0.5134 0.0261 0.8006 x1
O16 0.5127 0.4881 0.8007 x1
O17 0.5136 0.0269 0.2019 x1
O18 0.5138 0.4887 0.2019 x1
O19 0.6534 0.8327 0.3973 x1
O20 0.6590 0.8299 0.6023 x1
O21 0.6624 0.3214 0.3936 x1
O22 0.6655 0.3316 0.1073 x1
O23 0.6654 0.3327 0.6060 x1
O24 0.6676 0.3339 0.8957 x1
O25 0.6763 0.8389 0.8994 x1
O26 0.6786 0.8385 0.1036 x1
O27 0.8205 0.6413 0.7011 x1
O28 0.8209 0.1794 0.7011 x1
O29 0.8209 0.6424 0.3004 x1
O30 0.8298 0.1843 0.2994 x1
O31 0.9745 0.4872 0.8008 x1
O32 0.9750 0.4901 0.2018 x1
O33 0.9990 0.9995 0.5012 x1
O34 0.9992 0.9991 0.8064 x1

Most intense lines, 10° ≤ 2θ ≤ 90°, by angle:
index	two_theta	Rel. int.
0 0 4	14.91	80
-1 1 2	18.61	35
1 1 0	29.74	38
-1 1 7	31.44	100
1 1 -4	33.41	61
2 0 -1	34.68	71
2 0 -3	36.34	45
1 1 -6	37.54	38
3 -1 7	53.92	30
4 -2 0	61.75	67